Entry 1:
For Ho4SbTe2, a crystal structure in Alexandria, relaxed with GGA-PBE gives the simulated XRD peak list in this record (copper Kα).

Top 10 peaks for 10° ≤ 2θ ≤ 80°, by intensity:
30.5 deg, d = 2.934 Å, I = 100; 26.6 deg, d = 3.356 Å, I = 84; 35.4 deg, d = 2.532 Å, I = 60; 37.9 deg, d = 2.373 Å, I = 47; 29.8 deg, d = 2.994 Å, I = 46; 45.0 deg, d = 2.014 Å, I = 37; 40.9 deg, d = 2.209 Å, I = 30; 35.7 deg, d = 2.518 Å, I = 28; 49.8 deg, d = 1.833 Å, I = 27; 45.3 deg, d = 2.003 Å, I = 26

Crystal structure
a b c (Å): 9.492 8.157 8.149
angles (deg): 71.20 54.44 54.36
Positions (direct):
Ho1 0.121 0.320 0.320
Ho2 0.261 0.680 0.680
Ho3 0.320 0.121 0.739
Ho4 0.320 0.739 0.121
Ho5 0.680 0.261 0.879
Ho6 0.680 0.879 0.261
Ho7 0.739 0.320 0.320
Ho8 0.879 0.680 0.680
Sb1 0.375 0.375 0.375
Sb2 0.625 0.625 0.625
Te1 0.000 0.000 0.000
Te2 0.000 0.000 0.500
Te3 0.000 0.500 0.000
Te4 0.500 0.000 0.000


Entry 2:
For Li7Ac3Si4, a crystal structure in Alexandria, relaxed with GGA-PBE gives the simulated XRD peak list in this record (copper Kα).

Top 10 peaks for 10° ≤ 2θ ≤ 80°, by intensity:
21.4 deg, d = 4.143 Å, I = 100; 32.4 deg, d = 2.765 Å, I = 84; 20.3 deg, d = 4.378 Å, I = 55; 20.6 deg, d = 4.311 Å, I = 48; 31.6 deg, d = 2.832 Å, I = 46; 36.2 deg, d = 2.480 Å, I = 46; 43.9 deg, d = 2.064 Å, I = 40; 33.3 deg, d = 2.691 Å, I = 40; 26.1 deg, d = 3.410 Å, I = 32; 38.3 deg, d = 2.351 Å, I = 29

Crystal structure
a b c (Å): 8.927 8.927 8.757
angles (deg): 119.21 119.21 30.54
Positions (direct):
Li1 0.000 0.000 0.000
Li2 0.143 0.143 0.940
Li3 0.335 0.335 0.489
Li4 0.487 0.487 0.794
Li5 0.513 0.513 0.206
Li6 0.665 0.665 0.511
Li7 0.857 0.857 0.060
Ac1 0.000 0.000 0.500
Ac2 0.275 0.275 0.780
Ac3 0.725 0.725 0.220
Si1 0.130 0.130 0.321
Si2 0.361 0.361 0.214
Si3 0.639 0.639 0.786
Si4 0.870 0.870 0.679